# 1
Mg3Cu3Si2: computed X-ray powder pattern (Cu Kα (λ = 1.5418 Å)), based on a cell relaxed with GGA-PBE.
No peak broadening, texture or thermal motion is included.

Main lines, by intensity (10° ≤ 2θ ≤ 80°):
42.74 deg, rel. 100; 44.74 deg, rel. 93; 36.18 deg, rel. 67; 40.15 deg, rel. 56; 21.18 deg, rel. 54; 36.48 deg, rel. 53; 49.81 deg, rel. 49; 41.30 deg, rel. 45; 12.43 deg, rel. 38; 33.00 deg, rel. 36

Crystal structure
a = 6.927 Å, b = 14.244 Å, c = 5.270 Å
α = 90.00°, β = 90.00°, γ = 90.00°
Fractional positions:
1 Mg 0.022 0.113 0.129
2 Mg 0.022 0.387 0.129
3 Mg 0.180 0.250 0.593
4 Mg 0.320 0.750 0.093
5 Mg 0.478 0.613 0.629
6 Mg 0.478 0.887 0.629
7 Mg 0.522 0.113 0.371
8 Mg 0.522 0.387 0.371
9 Mg 0.680 0.250 0.907
10 Mg 0.820 0.750 0.407
11 Mg 0.978 0.613 0.871
12 Mg 0.978 0.887 0.871
13 Cu 0.175 0.030 0.583
14 Cu 0.175 0.470 0.583
15 Cu 0.188 0.750 0.596
16 Cu 0.312 0.250 0.096
17 Cu 0.325 0.530 0.083
18 Cu 0.325 0.970 0.083
19 Cu 0.675 0.030 0.917
20 Cu 0.675 0.470 0.917
21 Cu 0.688 0.750 0.904
22 Cu 0.812 0.250 0.404
23 Cu 0.825 0.530 0.417
24 Cu 0.825 0.970 0.417
25 Si 0.126 0.612 0.365
26 Si 0.126 0.888 0.365
27 Si 0.374 0.112 0.865
28 Si 0.374 0.388 0.865
29 Si 0.626 0.612 0.135
30 Si 0.626 0.888 0.135
31 Si 0.874 0.112 0.635
32 Si 0.874 0.388 0.635

***

# 2
Pm5SbS4: computed X-ray powder pattern (Cu Kα (λ = 1.5418 Å)), based on a cell relaxed with GGA-PBE.
No peak broadening, texture or thermal motion is included.

Main lines, by intensity (10° ≤ 2θ ≤ 80°):
30.61 deg, rel. 100; 43.81 deg, rel. 59; 26.43 deg, rel. 44; 72.25 deg, rel. 14; 54.49 deg, rel. 13; 51.87 deg, rel. 13; 43.98 deg, rel. 12; 54.33 deg, rel. 11; 72.38 deg, rel. 10; 52.02 deg, rel. 7

Crystal structure
a = 7.160 Å, b = 7.160 Å, c = 10.132 Å
α = 118.10°, β = 118.10°, γ = 33.43°
Fractional positions:
1 Pm 0.000 0.000 0.000
2 Pm 0.206 0.206 0.815
3 Pm 0.392 0.392 0.611
4 Pm 0.608 0.608 0.389
5 Pm 0.794 0.794 0.185
6 Sb 0.000 0.000 0.500
7 S 0.204 0.204 0.293
8 S 0.405 0.405 0.103
9 S 0.595 0.595 0.897
10 S 0.796 0.796 0.707

***

# 3
CsAcRhO4: computed X-ray powder pattern (Cu Kα (λ = 1.5418 Å)), based on a cell relaxed with GGA-PBE.
No peak broadening, texture or thermal motion is included.

Main lines, by intensity (10° ≤ 2θ ≤ 80°):
10.11 deg, rel. 100; 25.69 deg, rel. 49; 23.90 deg, rel. 47; 22.83 deg, rel. 43; 28.50 deg, rel. 40; 31.46 deg, rel. 37; 28.24 deg, rel. 34; 42.78 deg, rel. 30; 30.23 deg, rel. 30; 37.16 deg, rel. 23

Crystal structure
a = 6.344 Å, b = 5.687 Å, c = 8.786 Å
α = 90.00°, β = 94.94°, γ = 90.00°
Fractional positions:
1 Cs 0.211 0.250 0.134
2 Cs 0.789 0.750 0.866
3 Ac 0.272 0.750 0.477
4 Ac 0.728 0.250 0.523
5 Rh 0.243 0.250 0.687
6 Rh 0.757 0.750 0.313
7 O 0.009 0.750 0.220
8 O 0.121 0.250 0.476
9 O 0.473 0.022 0.672
10 O 0.473 0.478 0.672
11 O 0.527 0.522 0.328
12 O 0.527 0.978 0.328
13 O 0.879 0.750 0.524
14 O 0.991 0.250 0.780

***

# 4
Pm10ErSc4: computed X-ray powder pattern (Cu Kα (λ = 1.5418 Å)), based on a cell relaxed with GGA-PBE.
No peak broadening, texture or thermal motion is included.

Main lines, by intensity (10° ≤ 2θ ≤ 80°):
33.39 deg, rel. 100; 25.31 deg, rel. 72; 36.09 deg, rel. 54; 37.20 deg, rel. 37; 63.19 deg, rel. 28; 21.43 deg, rel. 27; 30.91 deg, rel. 27; 13.31 deg, rel. 26; 42.36 deg, rel. 23; 24.26 deg, rel. 19

Crystal structure
a = 8.895 Å, b = 8.895 Å, c = 8.895 Å
α = 102.55°, β = 102.55°, γ = 124.43°
Fractional positions:
1 Pm 0.034 0.922 0.342
2 Pm 0.078 0.420 0.112
3 Pm 0.250 0.750 0.500
4 Pm 0.308 0.966 0.888
5 Pm 0.420 0.308 0.342
6 Pm 0.580 0.692 0.658
7 Pm 0.692 0.034 0.112
8 Pm 0.750 0.250 0.500
9 Pm 0.922 0.580 0.888
10 Pm 0.966 0.078 0.658
11 Er 0.000 0.000 0.000
12 Sc 0.286 0.565 0.851
13 Sc 0.435 0.286 0.722
14 Sc 0.565 0.714 0.278
15 Sc 0.714 0.435 0.149